[1]
This entry pairs a crystal structure of Tb3ScTl with its simulated X-ray diffraction stick pattern. Radiation: Cu Kα (weighted mean of Kα1 and Kα2). Structure: DFT lattice parameters and positions (GGA-PBE).

Atomic structure:
Cell lengths 4.763, 24.717, 4.765 Å; angles 90.00, 90.00, 90.00 degrees
Space group Cmcm (No. 63)
Symmetry-distinct sites (fractional):
Tb  0.000  0.052  0.250 (multiplicity 4)
Tb  0.000  0.250  0.250 (multiplicity 4)
Tb  0.000  0.446  0.250 (multiplicity 4)
Sc  0.000  0.151  0.750 (multiplicity 4)
Tl  0.000  0.348  0.750 (multiplicity 4)

Principal peaks in the range 15° ≤ 2θ ≤ 90°, sorted by position:
| (hkl) | 2θ/deg | intensity |
| --- | --- | --- |
| 1 3 0 | 21.55 | 7 |
| 1 5 1 | 32.16 | 100 |
| 0 10 0 | 36.35 | 18 |
| 2 0 0 | 37.77 | 33 |
| 2 10 0 | 53.42 | 23 |
| 2 0 2 | 54.48 | 12 |
| 1 15 1 | 62.77 | 15 |
| 3 5 1 | 64.69 | 27 |
| 2 10 2 | 67.27 | 12 |
| 3 15 1 | 87.80 | 12 |

=====

[2]
This entry pairs a crystal structure of Pr12Mg2Tl5 with its simulated X-ray diffraction stick pattern. Radiation: Cu Kα (weighted mean of Kα1 and Kα2). Structure: DFT lattice parameters and positions (GGA-PBE).

Atomic structure:
Cell lengths 14.066, 9.817, 8.820 Å; angles 90.00, 94.42, 90.00 degrees
Space group C2/m (No. 12)
Symmetry-distinct sites (fractional):
Pr  0.080  0.000  0.182 (multiplicity 4)
Pr  0.096  0.500  0.643 (multiplicity 4)
Pr  0.117  0.203  0.859 (multiplicity 8)
Pr  0.153  0.313  0.295 (multiplicity 8)
Mg  0.000  0.169  0.500 (multiplicity 4)
Tl  0.000  0.500  0.000 (multiplicity 2)
Tl  0.181  0.000  0.531 (multiplicity 4)
Tl  0.222  0.500  0.980 (multiplicity 4)

Principal peaks in the range 15° ≤ 2θ ≤ 90°, sorted by position:
| (hkl) | 2θ/deg | intensity |
| --- | --- | --- |
| 0 2 2 | 27.23 | 49 |
| 1 3 1 | 29.99 | 53 |
| 2 2 2 | 30.79 | 100 |
| 4 0 -2 | 31.37 | 50 |
| 1 1 -3 | 32.03 | 29 |
| 4 2 -1 | 32.38 | 50 |
| 1 1 3 | 32.98 | 31 |
| 3 3 -1 | 34.54 | 54 |
| 5 1 1 | 35.53 | 61 |
| 0 4 0 | 36.62 | 29 |

=====

[3]
This entry pairs a crystal structure of CaNd14Sm with its simulated X-ray diffraction stick pattern. Radiation: Cu Kα (weighted mean of Kα1 and Kα2). Structure: DFT lattice parameters and positions (GGA-PBE).

Atomic structure:
Cell lengths 11.916, 7.451, 12.899 Å; angles 90.00, 90.00, 90.00 degrees
Space group Amm2 (No. 38)
Symmetry-distinct sites (fractional):
Ca  0.000  0.000  0.000 (multiplicity 2)
Nd  0.000  0.248  0.749 (multiplicity 4)
Nd  0.248  0.000  0.667 (multiplicity 4)
Nd  0.251  0.246  0.416 (multiplicity 8)
Nd  0.252  0.000  0.170 (multiplicity 4)
Nd  0.500  0.000  0.000 (multiplicity 2)
Nd  0.500  0.000  0.501 (multiplicity 2)
Nd  0.500  0.250  0.250 (multiplicity 4)
Sm  0.000  0.000  0.501 (multiplicity 2)

Principal peaks in the range 15° ≤ 2θ ≤ 90°, sorted by position:
| (hkl) | 2θ/deg | intensity |
| --- | --- | --- |
| 0 0 4 | 27.65 | 24 |
| 4 0 0 | 30.00 | 25 |
| 2 2 2 | 31.54 | 100 |
| 4 0 4 | 41.25 | 16 |
| 0 4 0 | 48.91 | 20 |
| 6 2 2 | 54.24 | 22 |
| 4 4 0 | 58.44 | 23 |
| 2 0 8 | 59.37 | 16 |
| 2 4 8 | 80.40 | 14 |
| 8 4 0 | 83.02 | 8 |

=====

[4]
This entry pairs a crystal structure of Ba2PuSb3Rh4 with its simulated X-ray diffraction stick pattern. Radiation: Cu Kα (weighted mean of Kα1 and Kα2). Structure: DFT lattice parameters and positions (GGA-PBE).

Atomic structure:
Cell lengths 4.657, 4.657, 11.087 Å; angles 90.00, 90.00, 90.00 degrees
Space group P-4m2 (No. 115)
Symmetry-distinct sites (fractional):
Ba  0.000  0.500  0.240 (multiplicity 2)
Pu  0.000  0.000  0.500 (multiplicity 1)
Sb  0.000  0.500  0.878 (multiplicity 2)
Sb  0.500  0.500  0.500 (multiplicity 1)
Rh  0.000  0.000  0.000 (multiplicity 1)
Rh  0.000  0.500  0.633 (multiplicity 2)
Rh  0.500  0.500  0.000 (multiplicity 1)

Principal peaks in the range 15° ≤ 2θ ≤ 90°, sorted by position:
| (hkl) | 2θ/deg | intensity |
| --- | --- | --- |
| 0 0 2 | 15.99 | 16 |
| 1 0 3 | 30.89 | 50 |
| 1 1 2 | 31.60 | 100 |
| 2 0 0 | 38.67 | 68 |
| 1 1 4 | 42.64 | 36 |
| 1 0 5 | 45.30 | 18 |
| 2 1 3 | 50.29 | 25 |
| 2 2 0 | 55.83 | 23 |
| 1 1 6 | 57.16 | 16 |
| 3 1 2 | 65.59 | 24 |